Simulated PXRD pattern of BaSrSmMnO6 for CuKα, from a DFT-relaxed cell (PBE+U, Alexandria).

Cell and atoms:
abc: 5.9289 5.9324 8.3659
angles: 89.89 89.69 89.82
Element x y z (fractional)
Ba: 0.0046 0.0033 0.2503
Ba: 0.9954 0.9967 0.7497
Sr: 0.4885 0.4976 0.7506
Sr: 0.5115 0.5024 0.2494
Sm: 0.0000 0.5000 0.5000
Sm: 0.5000 0.0000 0.0000
Mn: 0.0000 0.5000 0.0000
Mn: 0.5000 0.0000 0.5000
O: 0.0337 0.4716 0.7714
O: 0.2167 0.7416 0.9954
O: 0.2488 0.2919 0.0297
O: 0.2645 0.7775 0.5089
O: 0.2850 0.2419 0.4696
O: 0.4813 0.0440 0.7285
O: 0.5187 0.9560 0.2715
O: 0.7150 0.7581 0.5304
O: 0.7355 0.2225 0.4911
O: 0.7512 0.7081 0.9703
O: 0.7833 0.2584 0.0046
O: 0.9663 0.5284 0.2286

Main lines, sorted by position (15 to 90 degrees two-theta):
d/Å, two_theta, intensity
2.966, 30.13, 100
2.956, 30.24, 50
2.100, 43.07, 16
2.092, 43.24, 30
1.715, 53.43, 15
1.711, 53.56, 26
1.708, 53.67, 14
1.482, 62.68, 14